For Fe3Si2O9, a crystal structure in the Materials Project, relaxed with GGA+U gives the theoretical X-ray powder pattern in this record (a wavelength of 1.5418 Å).
Lines closer than 0.1° are merged.

Top 12 peaks for 2θ from 5° to 70°, by angle:
hkl, 2θ/deg, d/Å, I_rel
0 0 1, 6.1, 14.476, 14
0 0 2, 12.2, 7.238, 100
0 0 3, 18.4, 4.825, 12
0 2 2, 23.0, 3.861, 9
0 0 4, 24.6, 3.619, 43
2 0 -2, 35.5, 2.527, 24
1 3 2, 36.3, 2.477, 42
2 0 -4, 41.5, 2.174, 11
1 3 4, 42.5, 2.125, 20
1 3 6, 51.5, 1.773, 18
3 3 0, 60.1, 1.539, 12
1 3 -8, 61.8, 1.501, 14

Cell and atoms:
```
data_Fe3Si2O9
_chemical_formula_sum 'Fe12 Si8 O36'
_cell_length_a 5.352
_cell_length_b 9.134
_cell_length_c 14.480
_cell_angle_alpha 90.00
_cell_angle_beta 91.24
_cell_angle_gamma 90.00
_symmetry_space_group_name_H-M 'C 1 2/m 1'
_symmetry_Int_Tables_number 12
loop_
_symmetry_equiv_pos_as_xyz
'x,y,z'
'-x,-y,-z'
'-x,y,-z'
'x,-y,z'
'x+1/2,y+1/2,z'
'-x+1/2,-y+1/2,-z'
'-x+1/2,y+1/2,-z'
'x+1/2,-y+1/2,z'
loop_
_atom_site_label
_atom_site_type_symbol
_atom_site_fract_x
_atom_site_fract_y
_atom_site_fract_z
Fe1 Fe 0.000 0.000 0.000
Fe2 Fe 0.000 0.000 0.500
Fe3 Fe 0.000 0.334 0.000
Fe4 Fe 0.000 0.344 0.500
Si1 Si 0.165 0.168 0.696
O1 O 0.093 0.241 0.268
O2 O 0.153 0.165 0.066
O3 O 0.154 0.500 0.066
O4 O 0.161 0.169 0.580
O5 O 0.184 0.500 0.567
O6 O 0.186 0.000 0.731
```

=====

For SrLa2Co3O9, a crystal structure in the Materials Project, relaxed with GGA+U gives the theoretical X-ray powder pattern in this record (a wavelength of 1.5418 Å).
Lines closer than 0.1° are merged.

Top 12 peaks for 2θ from 5° to 70°, by angle:
hkl, 2θ/deg, d/Å, I_rel
1 1 2, 22.9, 3.887, 8
2 1 1, 32.6, 2.749, 51
1 3 2, 32.7, 2.739, 100
2 3 1, 40.3, 2.239, 23
2 0 -2, 46.7, 1.947, 17
2 2 4, 46.8, 1.942, 17
0 4 0, 47.1, 1.930, 17
1 0 5, 58.2, 1.586, 24
1 4 5, 58.3, 1.584, 10
0 5 3, 58.4, 1.580, 19
4 2 2, 68.2, 1.375, 10
-2 4 2, 68.5, 1.371, 10

Cell and atoms:
```
data_SrLa2Co3O9
_chemical_formula_sum 'Sr2 La4 Co6 O18'
_cell_length_a 5.501
_cell_length_b 8.636
_cell_length_c 8.685
_cell_angle_alpha 66.39
_cell_angle_beta 71.68
_cell_angle_gamma 71.53
_symmetry_space_group_name_H-M 'P 1'
_symmetry_Int_Tables_number 1
loop_
_symmetry_equiv_pos_as_xyz
'x,y,z'
loop_
_atom_site_label
_atom_site_type_symbol
_atom_site_fract_x
_atom_site_fract_y
_atom_site_fract_z
Sr1 Sr 0.000 0.000 0.000
Sr2 Sr 0.500 0.497 0.500
La1 La 0.170 0.493 0.169
La2 La 0.331 0.997 0.332
La3 La 0.671 0.001 0.659
La4 La 0.836 0.494 0.834
Co1 Co 0.084 0.248 0.582
Co2 Co 0.251 0.747 0.750
Co3 Co 0.419 0.246 0.916
Co4 Co 0.585 0.747 0.084
Co5 Co 0.750 0.248 0.248
Co6 Co 0.917 0.747 0.415
O1 O 0.002 0.496 0.497
O2 O 0.073 0.753 0.580
O3 O 0.080 0.253 0.088
O4 O 0.174 0.004 0.651
O5 O 0.243 0.747 0.251
O6 O 0.250 0.251 0.747
O7 O 0.334 0.492 0.845
O8 O 0.420 0.244 0.410
O9 O 0.433 0.746 0.912
O10 O 0.497 0.002 0.002
O11 O 0.579 0.253 0.087
O12 O 0.590 0.752 0.582
O13 O 0.669 0.495 0.159
O14 O 0.752 0.251 0.747
O15 O 0.752 0.748 0.248
O16 O 0.833 0.000 0.338
O17 O 0.919 0.744 0.909
O18 O 0.923 0.243 0.411
```